Calculated powder diffraction line list
Compound: Ba2PrP2I2
Radiation: λ = 1.5418 Å (Cu Kα)
Structure: DFT lattice parameters and positions (GGA-PBE)

Main lines, sorted by position (15° ≤ 2θ ≤ 90°):
2θ (°)  I/Imax  h k l
22.8  930  1 1 0
29.8  1000  1 0 5
30.4  93  1 1 4
32.5  557  2 0 0
44.7  651  2 1 5
46.6  200  2 2 0
52.5  195  3 1 0
56.3  163  3 0 5
56.7  102  1 1 10
61.9  92  2 0 10
66.5  198  3 2 5
76.0  136  4 1 5

Atomic structure:
Cell: 5.512 5.512 17.874 Å, 90.00 90.00 90.00°
Element x y z (fractional)
1 Ba 0.000 0.000 0.113
2 Ba 0.000 0.000 0.887
3 Ba 0.500 0.500 0.387
4 Ba 0.500 0.500 0.613
5 Pr 0.000 0.000 0.500
6 Pr 0.500 0.500 0.000
7 P 0.000 0.500 0.000
8 P 0.000 0.500 0.500
9 P 0.500 0.000 0.000
10 P 0.500 0.000 0.500
11 I 0.000 0.000 0.315
12 I 0.000 0.000 0.685
13 I 0.500 0.500 0.185
14 I 0.500 0.500 0.815